# Dy5Y2Ni2Te2
Theoretical powder X-ray diffraction pattern, λ = 1.5418 Å (Cu Kα). Input: DFT lattice parameters and positions (PBE).
Lines closer than 0.1° are merged.

Most intense lines, 2θ = 10–90°, low angle first:
d/Å  I (rel.)
3.099  46
2.976  25
2.948  53
2.723  88
2.639  100
2.605  74
2.458  35
2.345  29
1.926  32
1.572  40

Cell and atoms:
Lattice parameters (Å, degrees): 9.376 9.376 9.376 156.29 66.80 118.58
Fractional coordinates of all 11 atoms:
Dy 0.000 0.000 0.000
Dy 0.304 0.619 0.685
Dy 0.622 0.269 0.353
Dy 0.916 0.269 0.647
Dy 0.934 0.619 0.315
Y 0.287 0.418 0.869
Y 0.549 0.418 0.131
Ni 0.166 0.928 0.238
Ni 0.690 0.928 0.762
Te 0.264 0.764 0.500
Te 0.664 0.664 0.000